# 1
For Zn4Ni15Pd, a cell relaxed with PBE gives the simulated powder XRD pattern in this record (λ = 1.5418 Å (Cu Kα)).

Atomic structure:
```
Zn4Ni15Pd
1.0
3.600 0.000 0.000
0.000 3.600 0.000
0.000 0.000 17.772
Zn Ni Pd
4 15 1
direct
0.000 0.000 0.099
0.000 0.000 0.297
0.000 0.000 0.703
0.000 0.000 0.901
0.000 0.500 0.000
0.000 0.500 0.198
0.000 0.500 0.397
0.000 0.500 0.603
0.000 0.500 0.802
0.500 0.000 0.000
0.500 0.000 0.198
0.500 0.000 0.397
0.500 0.000 0.603
0.500 0.000 0.802
0.500 0.500 0.099
0.500 0.500 0.298
0.500 0.500 0.500
0.500 0.500 0.702
0.500 0.500 0.901
0.000 0.000 0.500
```

Main lines, low angle first (2θ from 15° to 90°):
- 2θ = 24.73°, intensity 0.5
- 2θ = 43.74°, intensity 100.0
- 2θ = 50.72°, intensity 31.7
- 2θ = 51.42°, intensity 15.0
- 2θ = 74.56°, intensity 9.2
- 2θ = 75.12°, intensity 17.8

=====

# 2
For ZnNiPd4, a cell relaxed with PBE gives the simulated powder XRD pattern in this record (λ = 1.5418 Å (Cu Kα)).

Atomic structure:
```
ZnNiPd4
1.0
4.247 0.000 0.000
0.000 5.326 0.000
0.000 0.000 7.787
Zn Ni Pd
2 2 8
direct
0.250 0.250 0.098
0.750 0.750 0.902
0.250 0.250 0.412
0.750 0.750 0.588
0.250 0.501 0.744
0.250 0.750 0.076
0.250 0.750 0.422
0.250 0.999 0.744
0.750 0.001 0.256
0.750 0.250 0.578
0.750 0.250 0.924
0.750 0.499 0.256
```

Main lines, low angle first (2θ from 15° to 90°):
- 2θ = 40.74°, intensity 100.0
- 2θ = 41.07°, intensity 47.2
- 2θ = 41.68°, intensity 90.8
- 2θ = 42.57°, intensity 44.9
- 2θ = 58.76°, intensity 17.0
- 2θ = 60.63°, intensity 29.0
- 2θ = 73.96°, intensity 15.3
- 2θ = 75.22°, intensity 14.5
- 2θ = 76.67°, intensity 14.7
- 2θ = 77.31°, intensity 14.0
- 2θ = 85.00°, intensity 22.6
- 2θ = 86.22°, intensity 11.2

=====

# 3
For Zn4Ni3Pd, a cell relaxed with PBE gives the simulated powder XRD pattern in this record (λ = 1.5418 Å (Cu Kα)).

Atomic structure:
```
Zn4Ni3Pd
1.0
2.080 1.201 6.819
-2.080 1.201 6.819
0.000 -2.402 6.819
Zn Ni Pd
4 3 1
direct
0.121 0.121 0.121
0.372 0.372 0.372
0.628 0.628 0.628
0.879 0.879 0.879
0.000 0.000 0.000
0.251 0.251 0.251
0.749 0.749 0.749
0.500 0.500 0.500
```

Main lines, low angle first (2θ from 15° to 90°):
- 2θ = 25.10°, intensity 2.0
- 2θ = 26.21°, intensity 2.8
- 2θ = 33.13°, intensity 2.7
- 2θ = 39.71°, intensity 1.9
- 2θ = 43.39°, intensity 99.4
- 2θ = 43.51°, intensity 100.0
- 2θ = 51.48°, intensity 0.9
- 2θ = 63.13°, intensity 30.6
- 2θ = 64.63°, intensity 0.9
- 2θ = 79.55°, intensity 14.5
- 2θ = 79.82°, intensity 45.0
- 2θ = 85.05°, intensity 0.9

=====

# 4
For ZrNiPd, a cell relaxed with PBE gives the simulated powder XRD pattern in this record (λ = 1.5418 Å (Cu Kα)).

Atomic structure:
```
ZrNiPd
1.0
4.581 -1.679 0.000
4.581 1.679 0.000
-2.552 0.000 6.315
Zr Ni Pd
2 2 2
direct
0.003 0.003 0.240
0.997 0.997 0.760
0.342 0.342 0.944
0.658 0.658 0.056
0.329 0.329 0.392
0.671 0.671 0.608
```

Main lines, low angle first (2θ from 15° to 90°):
- 2θ = 37.62°, intensity 100.0
- 2θ = 41.41°, intensity 38.9
- 2θ = 41.54°, intensity 35.9
- 2θ = 41.73°, intensity 78.1
- 2θ = 53.84°, intensity 14.2
- 2θ = 54.67°, intensity 17.4
- 2θ = 70.25°, intensity 13.1
- 2θ = 70.44°, intensity 11.2
- 2θ = 70.83°, intensity 16.5
- 2θ = 70.93°, intensity 13.9
- 2θ = 78.43°, intensity 11.2
- 2θ = 78.61°, intensity 9.6

=====

# 5
For ZrNiPd6, a cell relaxed with PBE gives the simulated powder XRD pattern in this record (λ = 1.5418 Å (Cu Kα)).

Atomic structure:
```
ZrNiPd6
1.0
3.348 -3.846 0.000
3.348 3.846 0.000
-0.530 0.000 4.971
Zr Ni Pd
1 1 6
direct
0.000 0.000 0.000
0.000 0.000 0.500
0.133 0.505 0.271
0.351 0.351 0.773
0.495 0.867 0.729
0.505 0.133 0.271
0.649 0.649 0.227
0.867 0.495 0.729
```

Main lines, low angle first (2θ from 15° to 90°):
- 2θ = 35.67°, intensity 41.2
- 2θ = 36.14°, intensity 52.3
- 2θ = 38.78°, intensity 71.1
- 2θ = 39.11°, intensity 25.7
- 2θ = 41.24°, intensity 100.0
- 2θ = 41.49°, intensity 63.0
- 2θ = 41.80°, intensity 61.8
- 2θ = 42.39°, intensity 84.5
- 2θ = 42.55°, intensity 82.4
- 2θ = 43.04°, intensity 59.2
- 2θ = 67.52°, intensity 31.1
- 2θ = 75.14°, intensity 29.5

=====

# 6
For Pm2Ni7, a cell relaxed with PBE gives the simulated powder XRD pattern in this record (λ = 1.5418 Å (Cu Kα)).

Atomic structure:
```
Pm2Ni7
1.0
2.499 1.443 12.189
-2.499 1.443 12.189
0.000 -2.886 12.189
Pm Ni
4 14
direct
0.051 0.051 0.051
0.147 0.147 0.147
0.853 0.853 0.853
0.949 0.949 0.949
0.000 0.500 0.500
0.109 0.609 0.609
0.279 0.279 0.279
0.388 0.388 0.388
0.391 0.391 0.891
0.391 0.891 0.391
0.500 0.000 0.500
0.500 0.500 0.000
0.500 0.500 0.500
0.609 0.109 0.609
0.609 0.609 0.109
0.612 0.612 0.612
0.721 0.721 0.721
0.891 0.391 0.391
```

Main lines, low angle first (2θ from 15° to 90°):
- 2θ = 32.04°, intensity 41.1
- 2θ = 34.00°, intensity 33.7
- 2θ = 35.93°, intensity 47.8
- 2θ = 41.81°, intensity 35.6
- 2θ = 42.47°, intensity 100.0
- 2θ = 44.60°, intensity 15.3
- 2θ = 46.42°, intensity 12.7
- 2θ = 62.16°, intensity 12.3
- 2θ = 63.36°, intensity 11.1
- 2θ = 67.00°, intensity 11.3
- 2θ = 69.08°, intensity 22.2
- 2θ = 76.19°, intensity 21.4

=====

# 7
For Pm3Ni, a cell relaxed with PBE gives the simulated powder XRD pattern in this record (λ = 1.5418 Å (Cu Kα)).

Atomic structure:
```
Pm3Ni
1.0
3.574 0.000 0.000
0.000 3.624 0.000
0.000 0.000 9.213
Pm Ni
3 1
direct
0.000 0.000 0.000
0.000 0.500 0.343
0.500 0.500 0.709
0.500 0.000 0.477
```

Main lines, low angle first (2θ from 15° to 90°):
- 2θ = 26.43°, intensity 34.3
- 2θ = 26.76°, intensity 75.9
- 2θ = 29.08°, intensity 45.0
- 2θ = 31.41°, intensity 85.1
- 2θ = 31.69°, intensity 31.3
- 2θ = 36.64°, intensity 100.0
- 2θ = 38.66°, intensity 22.4
- 2θ = 40.50°, intensity 27.5
- 2θ = 50.36°, intensity 18.3
- 2θ = 53.68°, intensity 26.9
- 2θ = 61.24°, intensity 24.8
- 2θ = 82.53°, intensity 20.7

=====

# 8
For Pm3Ni, a cell relaxed with PBE gives the simulated powder XRD pattern in this record (λ = 1.5418 Å (Cu Kα)).

Atomic structure:
```
Pm3Ni
1.0
-5.906 5.906 3.141
5.906 -5.906 3.141
5.906 5.906 -3.141
Pm Ni
12 4
direct
0.102 0.407 0.499
0.111 0.249 0.861
0.236 0.735 0.899
0.265 0.164 0.501
0.388 0.250 0.139
0.397 0.898 0.305
0.593 0.092 0.695
0.663 0.764 0.499
0.750 0.889 0.138
0.751 0.612 0.862
0.836 0.337 0.101
0.908 0.603 0.501
0.249 0.457 0.206
0.251 0.044 0.794
0.543 0.749 0.792
0.956 0.751 0.208
```

Main lines, low angle first (2θ from 15° to 90°):
- 2θ = 26.72°, intensity 23.1
- 2θ = 30.40°, intensity 75.3
- 2θ = 30.78°, intensity 95.0
- 2θ = 32.15°, intensity 48.9
- 2θ = 33.94°, intensity 30.2
- 2θ = 34.40°, intensity 100.0
- 2θ = 35.77°, intensity 31.1
- 2θ = 49.10°, intensity 22.3
- 2θ = 51.81°, intensity 27.4
- 2θ = 54.25°, intensity 22.2
- 2θ = 55.00°, intensity 33.5
- 2θ = 58.78°, intensity 29.8

=====

# 9
For PmNi11, a cell relaxed with PBE gives the simulated powder XRD pattern in this record (λ = 1.5418 Å (Cu Kα)).

Atomic structure:
```
PmNi11
1.0
-4.899 4.899 3.143
4.899 -4.899 3.143
4.899 4.899 -3.143
Pm Ni
2 22
direct
0.375 0.625 0.750
0.625 0.375 0.250
0.000 0.000 0.000
0.000 0.000 0.500
0.000 0.500 0.000
0.125 0.875 0.250
0.138 0.559 0.331
0.138 0.807 0.579
0.193 0.271 0.331
0.193 0.862 0.921
0.271 0.193 0.831
0.271 0.441 0.079
0.441 0.271 0.579
0.441 0.862 0.169
0.500 0.000 0.500
0.559 0.138 0.831
0.559 0.729 0.421
0.729 0.559 0.921
0.729 0.807 0.169
0.807 0.138 0.079
0.807 0.729 0.669
0.862 0.193 0.421
0.862 0.441 0.669
0.875 0.125 0.750
```

Main lines, low angle first (2θ from 15° to 90°):
- 2θ = 31.25°, intensity 15.1
- 2θ = 36.00°, intensity 40.2
- 2θ = 40.90°, intensity 100.0
- 2θ = 41.20°, intensity 73.2
- 2θ = 44.21°, intensity 32.9
- 2θ = 47.03°, intensity 15.9
- 2θ = 48.67°, intensity 45.4
- 2θ = 50.80°, intensity 31.1
- 2θ = 52.35°, intensity 13.1
- 2θ = 65.19°, intensity 13.7
- 2θ = 74.89°, intensity 26.1
- 2θ = 89.45°, intensity 14.8

=====

# 10
For PmPr4Ni4, a cell relaxed with PBE gives the simulated powder XRD pattern in this record (λ = 1.5418 Å (Cu Kα)).

Atomic structure:
```
PmPr4Ni4
1.0
8.643 0.000 0.000
0.000 8.643 0.000
0.000 0.000 6.016
Pm Pr Ni
2 8 8
direct
0.250 0.250 0.250
0.750 0.750 0.750
0.057 0.666 0.150
0.166 0.943 0.650
0.334 0.557 0.650
0.443 0.834 0.150
0.557 0.166 0.850
0.666 0.443 0.350
0.834 0.057 0.350
0.943 0.334 0.850
0.023 0.617 0.627
0.117 0.977 0.127
0.383 0.523 0.127
0.477 0.883 0.627
0.523 0.117 0.373
0.617 0.477 0.873
0.883 0.023 0.873
0.977 0.383 0.373
```

Main lines, low angle first (2θ from 15° to 90°):
- 2θ = 27.43°, intensity 74.3
- 2θ = 31.49°, intensity 49.7
- 2θ = 32.77°, intensity 100.0
- 2θ = 37.90°, intensity 31.8
- 2θ = 43.49°, intensity 17.3
- 2θ = 44.80°, intensity 11.5
- 2θ = 47.02°, intensity 32.1
- 2θ = 48.56°, intensity 28.5
- 2θ = 53.26°, intensity 17.2
- 2θ = 55.30°, intensity 24.1
- 2θ = 71.62°, intensity 11.0
- 2θ = 78.21°, intensity 11.6

=====

# 11
For Pm12PrNi6, a cell relaxed with PBE gives the simulated powder XRD pattern in this record (λ = 1.5418 Å (Cu Kα)).

Atomic structure:
```
Pm12PrNi6
1.0
6.755 3.900 3.297
-6.755 3.900 3.297
0.000 -7.800 3.297
Pm Pr Ni
12 1 6
direct
0.000 0.379 0.621
0.000 0.621 0.379
0.061 0.061 0.322
0.061 0.322 0.061
0.322 0.061 0.061
0.379 0.000 0.621
0.379 0.621 0.000
0.621 0.000 0.379
0.621 0.379 0.000
0.678 0.939 0.939
0.939 0.678 0.939
0.939 0.939 0.678
0.500 0.500 0.500
0.202 0.756 0.756
0.244 0.244 0.798
0.244 0.798 0.244
0.756 0.202 0.756
0.756 0.756 0.202
0.798 0.244 0.244
```

Main lines, low angle first (2θ from 15° to 90°):
- 2θ = 28.96°, intensity 100.0
- 2θ = 30.16°, intensity 45.8
- 2θ = 33.02°, intensity 17.7
- 2θ = 34.63°, intensity 22.4
- 2θ = 35.66°, intensity 66.6
- 2θ = 39.57°, intensity 15.5
- 2θ = 40.05°, intensity 14.1
- 2θ = 42.75°, intensity 40.1
- 2θ = 53.95°, intensity 14.0
- 2θ = 54.31°, intensity 22.9
- 2θ = 55.78°, intensity 21.2
- 2θ = 61.72°, intensity 16.8

=====

# 12
For Pm12PrNi7, a cell relaxed with PBE gives the simulated powder XRD pattern in this record (λ = 1.5418 Å (Cu Kα)).

Atomic structure:
```
Pm12PrNi7
1.0
7.305 4.217 2.832
-7.305 4.217 2.832
0.000 -8.435 2.832
Pm Pr Ni
12 1 7
direct
0.054 0.193 0.702
0.172 0.536 0.423
0.193 0.702 0.054
0.298 0.946 0.807
0.423 0.172 0.536
0.464 0.577 0.828
0.536 0.423 0.172
0.577 0.828 0.464
0.702 0.054 0.193
0.807 0.298 0.946
0.828 0.464 0.577
0.946 0.807 0.298
0.000 0.000 0.000
0.104 0.203 0.414
0.203 0.414 0.104
0.414 0.104 0.203
0.500 0.500 0.500
0.586 0.896 0.797
0.797 0.586 0.896
0.896 0.797 0.586
```

Main lines, low angle first (2θ from 15° to 90°):
- 2θ = 27.50°, intensity 75.4
- 2θ = 31.59°, intensity 22.6
- 2θ = 32.43°, intensity 16.5
- 2θ = 32.60°, intensity 27.2
- 2θ = 33.11°, intensity 100.0
- 2θ = 33.95°, intensity 10.9
- 2θ = 40.30°, intensity 16.5
- 2θ = 44.73°, intensity 42.7
- 2θ = 50.21°, intensity 12.5
- 2θ = 53.31°, intensity 10.6
- 2θ = 55.79°, intensity 21.0
- 2θ = 56.77°, intensity 15.0